The following is a calculated X-ray powder pattern of La2MgAl3. It was derived from a cell relaxed with PBE, using a wavelength of 1.5418 Å.
Intensities are scaled so that the largest is 100.

Structural model:
```
6
Lattice="2.9426 1.6989 4.7184 -2.9426 1.6989 4.7184 0.0000 -3.3978 4.7184" Properties=species:S:1:pos:R:3 pbc="T T T"
La 0.0000 0.0000 1.6994
La 0.0000 0.0000 12.4558
Mg 0.0000 0.0000 7.0776
Al -1.4713 -0.8495 4.7184
Al -1.4713 0.8495 9.4368
Al 0.0000 1.6989 4.7184
```

The 10 most intense peaks (2θ from 10° to 80°), low angle first:
- 18.50°, d 4.795, intensity 95
- 30.38°, d 2.943, intensity 100
- 30.76°, d 2.907, intensity 97
- 35.80°, d 2.508, intensity 56
- 35.97°, d 2.497, intensity 89
- 36.30°, d 2.475, intensity 63
- 54.21°, d 1.692, intensity 39
- 57.67°, d 1.598, intensity 22
- 57.90°, d 1.593, intensity 32
- 63.20°, d 1.471, intensity 24

=====

The following is a calculated X-ray powder pattern of LaMg11Al. It was derived from a cell relaxed with PBE, using a wavelength of 1.5418 Å.
Intensities are scaled so that the largest is 100.

Structural model:
```
13
Lattice="3.0068 -7.2172 0.0000 3.0068 7.2172 0.0000 -2.9412 0.0000 7.1031" Properties=species:S:1:pos:R:3 pbc="T T T"
La 0.0000 0.0000 0.0000
Mg -1.4706 0.0000 3.5516
Mg 1.5034 3.6086 0.0000
Mg 0.0300 2.4990 2.5029
Mg 0.0621 1.5333 5.5569
Mg 0.0300 -2.4990 2.5029
Mg 0.0621 -1.5333 5.5569
Mg 1.5034 -3.6086 0.0000
Mg 3.0103 1.5333 1.5462
Mg 3.0423 2.4990 4.6002
Mg 3.0103 -1.5333 1.5462
Mg 3.0423 -2.4990 4.6002
Al 1.5362 0.0000 3.5516
```

The 10 most intense peaks (2θ from 10° to 80°), low angle first:
- 12.26°, d 7.217, intensity 38
- 17.15°, d 5.169, intensity 61
- 24.51°, d 3.632, intensity 46
- 30.28°, d 2.951, intensity 42
- 30.46°, d 2.935, intensity 40
- 34.60°, d 2.593, intensity 49
- 34.80°, d 2.578, intensity 47
- 35.05°, d 2.560, intensity 71
- 35.43°, d 2.534, intensity 100
- 35.62°, d 2.520, intensity 35

=====

The following is a calculated X-ray powder pattern of SrLa3MgAlO8. It was derived from a cell relaxed with PBE, using a wavelength of 1.5418 Å.
Intensities are scaled so that the largest is 100.

Structural model:
```
14
Lattice="5.4373 0.0000 0.0000 0.0000 2.7313 6.3171 0.0000 -2.7313 6.3171" Properties=species:S:1:pos:R:3 pbc="T T T"
Sr 0.0000 0.0000 0.0000
La 0.0000 0.0000 3.5460
La 2.7187 0.0000 6.3719
La 2.7187 0.0000 9.8919
Mg 2.7187 0.0000 1.7485
Al 0.0000 0.0000 8.1492
O 0.0000 0.0000 5.9636
O 0.0000 0.0000 10.1653
O 1.3246 -1.3066 8.1464
O 1.3246 1.3066 8.1464
O 2.7187 0.0000 4.0243
O 2.7187 0.0000 12.2215
O 4.1127 -1.3066 8.1464
O 4.1127 1.3066 8.1464
```

The 10 most intense peaks (2θ from 10° to 80°), low angle first:
- 24.14°, d 3.686, intensity 60
- 28.25°, d 3.159, intensity 26
- 31.47°, d 2.843, intensity 100
- 32.79°, d 2.731, intensity 39
- 32.95°, d 2.719, intensity 38
- 43.82°, d 2.066, intensity 28
- 43.94°, d 2.061, intensity 28
- 47.17°, d 1.927, intensity 41
- 56.28°, d 1.635, intensity 19
- 57.90°, d 1.593, intensity 19

=====

The following is a calculated X-ray powder pattern of La6Mn9Al5. It was derived from a cell relaxed with PBE, using a wavelength of 1.5418 Å.
Intensities are scaled so that the largest is 100.

Structural model:
```
40
Lattice="-4.1502 4.1502 11.7645 4.1502 -4.1502 11.7645 4.1502 4.1502 -11.7645" Properties=species:S:1:pos:R:3 pbc="T T T"
La 2.7619 -1.3883 4.4815
La 0.0000 0.0000 2.5096
La 5.5386 -1.3883 7.2830
La 5.5386 1.3883 4.4815
La 0.0000 0.0000 9.2549
La 2.7619 1.3883 7.2830
La 1.3883 2.7619 4.4815
La 0.0000 0.0000 14.2741
La -1.3883 2.7619 7.2830
La -1.3883 5.5386 4.4815
La 0.0000 0.0000 21.0195
La 1.3883 5.5386 7.2830
Mn 4.1502 0.0000 0.0000
Mn 1.7479 0.5832 0.0000
Mn 5.5983 1.4481 -1.2597
Mn 3.5670 -2.4023 11.7645
Mn 5.5983 1.4481 1.2597
Mn 1.4481 2.7021 -1.2597
Mn 3.5670 2.4023 0.0000
Mn 1.4481 2.7021 1.2597
Mn 1.7479 -0.5832 11.7645
Mn 0.0000 4.1502 0.0000
Mn 2.4023 4.7335 0.0000
Mn 2.7021 1.4481 10.5048
Mn 0.5832 1.7479 11.7645
Mn 2.7021 1.4481 13.0242
Mn -1.4481 2.7021 10.5048
Mn 0.5832 6.5525 0.0000
Mn -1.4481 2.7021 13.0242
Mn 2.4023 3.5670 11.7645
Al 3.1449 1.0053 -2.1945
Al 3.1449 1.0053 2.1945
Al 0.0000 0.0000 5.8823
Al 3.1449 -1.0053 9.5700
Al 3.1449 -1.0053 13.9590
Al 1.0053 5.1555 -2.1945
Al 1.0053 5.1555 2.1945
Al 0.0000 0.0000 17.6468
Al 1.0053 3.1449 9.5700
Al 1.0053 3.1449 13.9590
```

The 10 most intense peaks (2θ from 10° to 80°), low angle first:
- 26.57°, d 3.355, intensity 73
- 30.45°, d 2.936, intensity 28
- 30.68°, d 2.914, intensity 69
- 34.14°, d 2.626, intensity 100
- 36.05°, d 2.492, intensity 35
- 37.49°, d 2.399, intensity 80
- 38.26°, d 2.352, intensity 28
- 45.21°, d 2.006, intensity 36
- 49.23°, d 1.851, intensity 33
- 56.49°, d 1.629, intensity 31